[1]
Starting from a GGA+U-relaxed structure, the powder XRD pattern of CsMoO2F3 was simulated for CuKα.
No peak broadening, texture or thermal motion is included.

Top 8 peaks for 10 to 80 degrees two-theta, low angle first:
2θ = 23.7°, rel. 100; 2θ = 24.1°, rel. 25; 2θ = 26.2°, rel. 24; 2θ = 35.9°, rel. 13; 2θ = 40.2°, rel. 17; 2θ = 42.2°, rel. 20; 2θ = 44.7°, rel. 22; 2θ = 48.6°, rel. 14

Structural model:
Cell lengths 8.607, 8.607, 8.607 Å; angles 141.67, 133.37, 61.88 degrees
Fractional coordinates of all 14 atoms:
1 Cs 0.377 0.127 0.250
2 Cs 0.623 0.873 0.750
3 Mo 0.112 0.362 0.750
4 Mo 0.888 0.638 0.250
5 O 0.186 0.199 0.512
6 O 0.186 0.674 0.988
7 O 0.814 0.326 0.012
8 O 0.814 0.801 0.488
9 F 0.000 0.000 0.500
10 F 0.000 0.500 0.000
11 F 0.196 0.666 0.530
12 F 0.365 0.334 0.030
13 F 0.635 0.666 0.970
14 F 0.804 0.334 0.470

=====

[2]
Starting from a GGA+U-relaxed structure, the powder XRD pattern of P4WO12 was simulated for CuKα.
No peak broadening, texture or thermal motion is included.

Top 8 peaks for 10 to 80 degrees two-theta, low angle first:
2θ = 13.5°, rel. 99; 2θ = 17.0°, rel. 61; 2θ = 20.1°, rel. 100; 2θ = 25.5°, rel. 51; 2θ = 27.8°, rel. 55; 2θ = 29.1°, rel. 67; 2θ = 34.4°, rel. 28; 2θ = 36.8°, rel. 28

Structural model:
Cell lengths 7.351, 7.351, 10.455 Å; angles 114.47, 114.47, 69.58 degrees
Fractional coordinates of all 34 atoms:
1 P 0.187 0.214 0.696
2 P 0.214 0.187 0.196
3 P 0.229 0.753 0.520
4 P 0.247 0.771 0.980
5 P 0.753 0.229 0.020
6 P 0.771 0.247 0.480
7 P 0.786 0.813 0.804
8 P 0.813 0.786 0.304
9 W 0.447 0.553 0.250
10 W 0.553 0.447 0.750
11 O 0.003 0.276 0.555
12 O 0.032 0.785 0.855
13 O 0.143 0.308 0.837
14 O 0.215 0.968 0.645
15 O 0.244 0.697 0.094
16 O 0.250 0.372 0.186
17 O 0.276 0.003 0.055
18 O 0.303 0.756 0.406
19 O 0.308 0.143 0.337
20 O 0.344 0.591 0.594
21 O 0.372 0.250 0.686
22 O 0.409 0.656 0.906
23 O 0.591 0.344 0.094
24 O 0.628 0.750 0.314
25 O 0.656 0.409 0.406
26 O 0.692 0.857 0.663
27 O 0.697 0.244 0.594
28 O 0.724 0.997 0.945
29 O 0.750 0.628 0.814
30 O 0.756 0.303 0.906
31 O 0.785 0.032 0.355
32 O 0.857 0.692 0.163
33 O 0.968 0.215 0.145
34 O 0.997 0.724 0.445

=====

[3]
Starting from a GGA+U-relaxed structure, the powder XRD pattern of Ti7Fe9O24 was simulated for CuKα.
No peak broadening, texture or thermal motion is included.

Top 8 peaks for 10 to 80 degrees two-theta, low angle first:
2θ = 23.6°, rel. 30; 2θ = 32.2°, rel. 47; 2θ = 32.4°, rel. 47; 2θ = 32.5°, rel. 45; 2θ = 34.9°, rel. 100; 2θ = 48.1°, rel. 18; 2θ = 52.6°, rel. 22; 2θ = 62.6°, rel. 31

Structural model:
Cell lengths 5.593, 9.109, 9.128 Å; angles 68.63, 84.82, 85.01 degrees
Fractional coordinates of all 40 atoms:
1 Ti 0.000 0.000 0.000
2 Ti 0.000 0.492 0.508
3 Ti 0.418 0.852 0.858
4 Ti 0.488 0.498 0.012
5 Ti 0.506 0.997 0.499
6 Ti 0.910 0.352 0.865
7 Ti 0.922 0.850 0.359
8 Fe 0.014 0.249 0.261
9 Fe 0.417 0.101 0.108
10 Fe 0.422 0.604 0.609
11 Fe 0.423 0.350 0.360
12 Fe 0.494 0.249 0.752
13 Fe 0.500 0.745 0.254
14 Fe 0.912 0.601 0.112
15 Fe 0.916 0.103 0.605
16 Fe 0.997 0.745 0.755
17 O 0.041 0.439 0.319
18 O 0.044 0.535 0.719
19 O 0.049 0.048 0.216
20 O 0.057 0.945 0.821
21 O 0.177 0.206 0.906
22 O 0.184 0.707 0.405
23 O 0.222 0.142 0.450
24 O 0.227 0.642 0.957
25 O 0.337 0.311 0.152
26 O 0.350 0.406 0.549
27 O 0.354 0.902 0.040
28 O 0.369 0.814 0.647
29 O 0.545 0.542 0.207
30 O 0.550 0.037 0.710
31 O 0.555 0.942 0.322
32 O 0.561 0.448 0.828
33 O 0.683 0.705 0.911
34 O 0.707 0.202 0.394
35 O 0.722 0.140 0.955
36 O 0.739 0.642 0.457
37 O 0.854 0.899 0.542
38 O 0.858 0.384 0.058
39 O 0.862 0.313 0.651
40 O 0.871 0.819 0.150

=====

[4]
Starting from a GGA+U-relaxed structure, the powder XRD pattern of Li9Mn2Co5O16 was simulated for CuKα.
No peak broadening, texture or thermal motion is included.

Top 8 peaks for 10 to 80 degrees two-theta, low angle first:
2θ = 18.4°, rel. 100; 2θ = 35.9°, rel. 14; 2θ = 36.1°, rel. 14; 2θ = 36.5°, rel. 12; 2θ = 43.2°, rel. 29; 2θ = 43.9°, rel. 27; 2θ = 44.3°, rel. 26; 2θ = 64.3°, rel. 15

Structural model:
Cell lengths 2.901, 10.110, 10.610 Å; angles 113.78, 96.53, 90.78 degrees
Fractional coordinates of all 32 atoms:
1 Li 0.000 0.000 0.000
2 Li 0.117 0.941 0.245
3 Li 0.123 0.438 0.250
4 Li 0.372 0.314 0.748
5 Li 0.376 0.824 0.758
6 Li 0.624 0.176 0.242
7 Li 0.628 0.686 0.252
8 Li 0.877 0.562 0.750
9 Li 0.883 0.059 0.755
10 Mn 0.498 0.244 0.998
11 Mn 0.502 0.756 0.002
12 Co 0.000 0.500 0.000
13 Co 0.248 0.375 0.500
14 Co 0.252 0.875 0.500
15 Co 0.748 0.125 0.500
16 Co 0.752 0.625 0.500
17 O 0.047 0.709 0.106
18 O 0.050 0.225 0.111
19 O 0.173 0.160 0.384
20 O 0.184 0.657 0.382
21 O 0.319 0.590 0.616
22 O 0.324 0.094 0.615
23 O 0.440 0.052 0.882
24 O 0.454 0.535 0.894
25 O 0.546 0.465 0.106
26 O 0.560 0.948 0.118
27 O 0.676 0.906 0.385
28 O 0.681 0.410 0.384
29 O 0.816 0.343 0.618
30 O 0.827 0.840 0.616
31 O 0.950 0.775 0.889
32 O 0.953 0.291 0.894

=====

[5]
Starting from a GGA+U-relaxed structure, the powder XRD pattern of Li2TiFeO4 was simulated for CuKα.
No peak broadening, texture or thermal motion is included.

Top 8 peaks for 10 to 80 degrees two-theta, low angle first:
2θ = 18.0°, rel. 88; 2θ = 18.1°, rel. 89; 2θ = 35.0°, rel. 31; 2θ = 35.2°, rel. 19; 2θ = 42.1°, rel. 50; 2θ = 42.7°, rel. 100; 2θ = 61.5°, rel. 40; 2θ = 61.6°, rel. 27

Structural model:
Cell lengths 6.027, 6.035, 10.359 Å; angles 73.92, 73.19, 60.06 degrees
Fractional coordinates of all 32 atoms:
1 Li 0.000 0.000 0.000
2 Li 0.001 0.992 0.502
3 Li 0.248 0.746 0.254
4 Li 0.495 0.999 0.001
5 Li 0.498 0.501 0.502
6 Li 0.501 0.493 0.003
7 Li 0.748 0.246 0.754
8 Li 0.994 0.500 0.501
9 Ti 0.247 0.252 0.751
10 Ti 0.495 0.003 0.501
11 Ti 0.747 0.752 0.251
12 Ti 0.998 0.502 0.001
13 Fe 0.247 0.251 0.251
14 Fe 0.248 0.751 0.751
15 Fe 0.747 0.751 0.751
16 Fe 0.748 0.251 0.251
17 O 0.098 0.631 0.123
18 O 0.108 0.161 0.119
19 O 0.134 0.594 0.635
20 O 0.145 0.131 0.622
21 O 0.350 0.371 0.879
22 O 0.360 0.911 0.865
23 O 0.386 0.343 0.381
24 O 0.396 0.872 0.378
25 O 0.597 0.132 0.623
26 O 0.607 0.662 0.621
27 O 0.636 0.093 0.135
28 O 0.646 0.631 0.123
29 O 0.849 0.871 0.378
30 O 0.858 0.412 0.365
31 O 0.887 0.842 0.880
32 O 0.897 0.371 0.878

=====

> What is the formula in the second record?

P4WO12

=====

Copy entry 1 word for word.
Starting from a GGA+U-relaxed structure, the powder XRD pattern of CsMoO2F3 was simulated for CuKα.
No peak broadening, texture or thermal motion is included.

Top 8 peaks for 10 to 80 degrees two-theta, low angle first:
2θ = 23.7°, rel. 100; 2θ = 24.1°, rel. 25; 2θ = 26.2°, rel. 24; 2θ = 35.9°, rel. 13; 2θ = 40.2°, rel. 17; 2θ = 42.2°, rel. 20; 2θ = 44.7°, rel. 22; 2θ = 48.6°, rel. 14

Structural model:
Cell lengths 8.607, 8.607, 8.607 Å; angles 141.67, 133.37, 61.88 degrees
Fractional coordinates of all 14 atoms:
1 Cs 0.377 0.127 0.250
2 Cs 0.623 0.873 0.750
3 Mo 0.112 0.362 0.750
4 Mo 0.888 0.638 0.250
5 O 0.186 0.199 0.512
6 O 0.186 0.674 0.988
7 O 0.814 0.326 0.012
8 O 0.814 0.801 0.488
9 F 0.000 0.000 0.500
10 F 0.000 0.500 0.000
11 F 0.196 0.666 0.530
12 F 0.365 0.334 0.030
13 F 0.635 0.666 0.970
14 F 0.804 0.334 0.470